Computed powder diffractogram of CeP4NO12 for a wavelength of 1.5418 Å, from a cell relaxed with GGA-PBE.
Neutral-atom scattering factors, no anomalous dispersion.

The 10 most intense peaks (2θ from 10° to 90°), in order of rising 2θ:
(hkl)  2theta  intensity
1 1 -1  14.0  64
0 2 1  16.8  100
1 1 1  18.7  21
1 1 -2  19.1  36
2 0 -2  24.4  20
1 1 2  25.9  70
1 3 1  27.6  27
1 3 -2  27.9  70
2 2 -2  28.3  23
2 4 0  37.6  28

Crystal structure
```
data_CeP4NO12
_chemical_formula_sum 'Ce4 P16 N4 O48'
_symmetry_space_group_name_H-M 'C 1 2/c 1'
_symmetry_Int_Tables_number 15
_symmetry_space_group_name_Hall '-C 2yc'
_cell_length_a 7.944
_cell_length_b 12.482
_cell_length_c 10.562
_cell_angle_alpha 90.00
_cell_angle_beta 110.60
_cell_angle_gamma 90.00
loop_
_atom_site_label
_atom_site_type_symbol
_atom_site_fract_x
_atom_site_fract_y
_atom_site_fract_z
_atom_site_occupancy
Ce1 Ce 0.000 0.116 0.250 1
P1 P 0.043 0.329 0.499 1
P2 P 0.217 0.477 0.941 1
N1 N 0.000 0.183 0.750 1
O1 O 0.051 0.242 0.100 1
O2 O 0.069 0.428 0.410 1
O3 O 0.098 0.373 0.935 1
O4 O 0.148 0.006 0.919 1
O5 O 0.215 0.303 0.613 1
O6 O 0.218 0.031 0.175 1
```


Computed powder diffractogram of MgZn for a wavelength of 1.5418 Å, from a cell relaxed with GGA-PBE.
Neutral-atom scattering factors, no anomalous dispersion.

The 10 most intense peaks (2θ from 10° to 90°), in order of rising 2θ:
(hkl)  2theta  intensity
0 0 1  17.8  41
1 0 1  34.7  57
0 2 0  36.4  46
1 1 1  39.3  100
0 1 2  40.6  59
1 2 1  51.2  22
1 0 3  63.9  15
1 3 1  67.5  19
1 2 3  75.9  18
2 1 2  76.0  17

Crystal structure
```
data_MgZn
_chemical_formula_sum 'Mg2 Zn2'
_symmetry_space_group_name_H-M 'P m m n'
_symmetry_Int_Tables_number 59
_cell_length_a 3.028
_cell_length_b 4.935
_cell_length_c 4.982
_cell_angle_alpha 90.00
_cell_angle_beta 90.00
_cell_angle_gamma 90.00
loop_
_symmetry_equiv_pos_as_xyz
'x,y,z'
'-x,-y,-z'
'-x+1/2,-y+1/2,z'
'x+1/2,y+1/2,-z'
'x+1/2,-y,-z'
'-x+1/2,y,z'
'-x,y+1/2,-z'
'x,-y+1/2,z'
loop_
_atom_site_label
_atom_site_type_symbol
_atom_site_fract_x
_atom_site_fract_y
_atom_site_fract_z
_atom_site_occupancy
Mg1 Mg 0.250 0.250 0.101 1
Zn1 Zn 0.250 0.750 0.405 1
```


Computed powder diffractogram of ScHO2 for a wavelength of 1.5418 Å, from a cell relaxed with GGA-PBE.
Neutral-atom scattering factors, no anomalous dispersion.

The 10 most intense peaks (2θ from 10° to 90°), in order of rising 2θ:
(hkl)  2theta  intensity
1 0 1  20.5  100
2 0 1  25.3  21
3 0 1  31.8  34
4 0 0  34.3  22
1 1 1  34.5  89
4 0 1  39.3  34
1 1 2  48.1  26
2 1 2  50.6  36
3 1 2  54.5  20
5 1 1  55.7  30

Crystal structure
```
data_ScHO2
_chemical_formula_sum 'Sc4 H4 O8'
_symmetry_space_group_name_H-M 'P n m a'
_symmetry_Int_Tables_number 62
_symmetry_space_group_name_Hall '-P 2ac 2n'
_cell_length_a 10.449
_cell_length_b 3.250
_cell_length_c 4.766
_cell_angle_alpha 90.00
_cell_angle_beta 90.00
_cell_angle_gamma 90.00
loop_
_atom_site_label
_atom_site_type_symbol
_atom_site_fract_x
_atom_site_fract_y
_atom_site_fract_z
_atom_site_occupancy
Sc1 Sc 0.144 0.250 0.070 1
H1 H 0.096 0.750 0.612 1
O1 O 0.060 0.750 0.805 1
O2 O 0.196 0.750 0.314 1
```


Computed powder diffractogram of SrEuNbBiO6 for a wavelength of 1.5418 Å, from a cell relaxed with GGA-PBE.
Neutral-atom scattering factors, no anomalous dispersion.

The 10 most intense peaks (2θ from 10° to 90°), in order of rising 2θ:
(hkl)  2theta  intensity
1 1 1  17.5  7
0 2 2  28.7  100
0 0 4  41.0  18
4 0 0  41.2  9
2 4 2  50.9  31
4 2 2  51.0  15
4 4 0  59.6  11
0 6 2  67.3  10
2 4 6  82.0  12
6 2 4  82.3  8

Crystal structure
```
data_SrEuNbBiO6
_chemical_formula_sum 'Sr4 Eu4 Nb4 Bi4 O24'
_symmetry_space_group_name_H-M 'P 2 2 2'
_symmetry_Int_Tables_number 16
_symmetry_space_group_name_Hall 'P 2 2'
_cell_length_a 8.755
_cell_length_b 8.793
_cell_length_c 8.804
_cell_angle_alpha 90.00
_cell_angle_beta 90.00
_cell_angle_gamma 90.00
loop_
_atom_site_label
_atom_site_type_symbol
_atom_site_fract_x
_atom_site_fract_y
_atom_site_fract_z
_atom_site_occupancy
Sr1 Sr 0.000 0.000 0.000 1
Sr2 Sr 0.000 0.000 0.500 1
Sr3 Sr 0.000 0.500 0.000 1
Sr4 Sr 0.500 0.500 0.000 1
Eu1 Eu 0.000 0.500 0.500 1
Eu2 Eu 0.500 0.000 0.000 1
Eu3 Eu 0.500 0.000 0.500 1
Eu4 Eu 0.500 0.500 0.500 1
Nb1 Nb 0.249 0.251 0.248 1
Bi1 Bi 0.250 0.250 0.750 1
O1 O 0.023 0.212 0.298 1
O2 O 0.202 0.478 0.212 1
O3 O 0.212 0.202 0.022 1
O4 O 0.292 0.302 0.480 1
O5 O 0.301 0.021 0.290 1
O6 O 0.479 0.289 0.203 1
```


Computed powder diffractogram of MgTi3 for a wavelength of 1.5418 Å, from a cell relaxed with GGA-PBE.
Neutral-atom scattering factors, no anomalous dispersion.

The 10 most intense peaks (2θ from 10° to 90°), in order of rising 2θ:
(hkl)  2theta  intensity
1 1 1  23.1  5
2 0 0  26.8  2
2 2 0  38.2  100
3 1 1  45.2  2
2 2 2  47.3  1
4 0 0  55.2  16
3 3 1  60.6  1
4 2 0  62.4  1
4 2 2  69.1  30
4 4 0  81.8  9

Crystal structure
```
data_MgTi3
_chemical_formula_sum 'Mg4 Ti12'
_symmetry_space_group_name_H-M 'F m -3 m'
_symmetry_Int_Tables_number 225
_symmetry_space_group_name_Hall '-F 4 2 3'
_cell_length_a 6.660
_cell_length_b 6.660
_cell_length_c 6.660
_cell_angle_alpha 90.00
_cell_angle_beta 90.00
_cell_angle_gamma 90.00
loop_
_atom_site_label
_atom_site_type_symbol
_atom_site_fract_x
_atom_site_fract_y
_atom_site_fract_z
_atom_site_occupancy
Mg1 Mg 0.000 0.000 0.000 1
Ti1 Ti 0.000 0.000 0.500 1
Ti2 Ti 0.250 0.250 0.250 1
```


Computed powder diffractogram of ErMnAl for a wavelength of 1.5418 Å, from a cell relaxed with GGA-PBE.
Neutral-atom scattering factors, no anomalous dispersion.

The 10 most intense peaks (2θ from 10° to 90°), in order of rising 2θ:
(hkl)  2theta  intensity
0 1 1  20.0  19
1 0 1  20.1  54
0 2 0  32.6  36
1 1 2  33.1  100
1 2 1  38.6  53
2 1 1  38.8  68
0 1 3  39.3  59
1 3 2  58.5  20
3 1 2  58.9  19
2 2 4  69.5  25

Crystal structure
```
data_ErMnAl
_chemical_formula_sum 'Er4 Mn4 Al4'
_symmetry_space_group_name_H-M 'I m m a'
_symmetry_Int_Tables_number 74
_symmetry_space_group_name_Hall '-I 2b 2'
_cell_length_a 5.445
_cell_length_b 5.494
_cell_length_c 7.565
_cell_angle_alpha 90.00
_cell_angle_beta 90.00
_cell_angle_gamma 90.00
loop_
_atom_site_label
_atom_site_type_symbol
_atom_site_fract_x
_atom_site_fract_y
_atom_site_fract_z
_atom_site_occupancy
Er1 Er 0.000 0.250 0.120 1
Mn1 Mn 0.250 0.250 0.750 1
Al1 Al 0.000 0.000 0.500 1
```


Computed powder diffractogram of Pr6Fe13Ge for a wavelength of 1.5418 Å, from a cell relaxed with GGA-PBE.
Neutral-atom scattering factors, no anomalous dispersion.

The 10 most intense peaks (2θ from 10° to 90°), in order of rising 2θ:
(hkl)  2theta  intensity
-2 1 1  27.3  89
2 -2 0  31.3  87
2 1 4  31.4  52
-1 1 4  34.7  38
1 3 2  35.1  100
1 2 5  36.8  37
0 2 -3  38.2  82
3 -1 3  38.5  38
-1 4 1  46.5  51
4 2 3  50.5  40

Crystal structure
```
data_Pr6Fe13Ge
_chemical_formula_sum 'Pr12 Fe26 Ge2'
_symmetry_space_group_name_H-M 'P 1'
_symmetry_Int_Tables_number 1
_symmetry_space_group_name_Hall 'P 1'
_cell_length_a 8.076
_cell_length_b 8.083
_cell_length_c 12.905
_cell_angle_alpha 71.81
_cell_angle_beta 71.84
_cell_angle_gamma 89.94
loop_
_atom_site_label
_atom_site_type_symbol
_atom_site_fract_x
_atom_site_fract_y
_atom_site_fract_z
_atom_site_occupancy
Pr1 Pr 0.000 0.000 0.000 1
Pr2 Pr 0.036 0.874 0.597 1
Pr3 Pr 0.248 0.746 0.838 1
Pr4 Pr 0.285 0.285 0.433 1
Pr5 Pr 0.369 0.537 0.597 1
Pr6 Pr 0.416 0.249 0.837 1
Pr7 Pr 0.502 0.497 0.001 1
Pr8 Pr 0.539 0.036 0.597 1
Pr9 Pr 0.746 0.911 0.842 1
Pr10 Pr 0.788 0.785 0.433 1
Pr11 Pr 0.870 0.372 0.595 1
Pr12 Pr 0.919 0.416 0.836 1
Fe1 Fe 0.015 0.511 0.334 1
Fe2 Fe 0.101 0.376 0.025 1
Fe3 Fe 0.104 0.825 0.217 1
Fe4 Fe 0.132 0.630 0.097 1
Fe5 Fe 0.157 0.010 0.336 1
Fe6 Fe 0.185 0.324 0.216 1
Fe7 Fe 0.188 0.685 0.408 1
Fe8 Fe 0.277 0.128 0.097 1
Fe9 Fe 0.329 0.601 0.216 1
Fe10 Fe 0.374 0.874 0.027 1
Fe11 Fe 0.394 0.890 0.218 1
Fe12 Fe 0.412 0.910 0.410 1
Fe13 Fe 0.461 0.179 0.218 1
Fe14 Fe 0.514 0.652 0.337 1
Fe15 Fe 0.602 0.100 0.027 1
Fe16 Fe 0.604 0.456 0.218 1
Fe17 Fe 0.631 0.771 0.099 1
Fe18 Fe 0.657 0.155 0.336 1
Fe19 Fe 0.683 0.957 0.218 1
Fe20 Fe 0.687 0.407 0.409 1
Fe21 Fe 0.775 0.273 0.098 1
Fe22 Fe 0.828 0.680 0.218 1
Fe23 Fe 0.876 0.598 0.027 1
Fe24 Fe 0.895 0.391 0.216 1
Fe25 Fe 0.913 0.186 0.407 1
Fe26 Fe 0.962 0.102 0.215 1
Ge1 Ge 0.142 0.142 0.716 1
Ge2 Ge 0.641 0.641 0.718 1
```


Computed powder diffractogram of K2TlAgI6 for a wavelength of 1.5418 Å, from a cell relaxed with GGA-PBE.
Neutral-atom scattering factors, no anomalous dispersion.

The 10 most intense peaks (2θ from 10° to 90°), in order of rising 2θ:
(hkl)  2theta  intensity
2 0 0  14.7  92
2 2 2  25.6  41
4 0 0  29.7  100
4 2 0  33.3  52
4 4 0  42.5  74
6 0 0  45.2  28
6 2 2  50.3  18
4 4 4  52.7  26
8 4 0  69.9  32
8 4 4  77.8  24

Crystal structure
```
data_K2TlAgI6
_chemical_formula_sum 'K8 Tl4 Ag4 I24'
_symmetry_space_group_name_H-M 'F m -3 m'
_symmetry_Int_Tables_number 225
_symmetry_space_group_name_Hall '-F 4 2 3'
_cell_length_a 12.035
_cell_length_b 12.035
_cell_length_c 12.035
_cell_angle_alpha 90.00
_cell_angle_beta 90.00
_cell_angle_gamma 90.00
loop_
_atom_site_label
_atom_site_type_symbol
_atom_site_fract_x
_atom_site_fract_y
_atom_site_fract_z
_atom_site_occupancy
K1 K 0.250 0.250 0.250 1
Tl1 Tl 0.000 0.000 0.000 1
Ag1 Ag 0.000 0.000 0.500 1
I1 I 0.000 0.000 0.256 1
```


Computed powder diffractogram of EuCdAg for a wavelength of 1.5418 Å, from a cell relaxed with GGA-PBE.
Neutral-atom scattering factors, no anomalous dispersion.

The 10 most intense peaks (2θ from 10° to 90°), in order of rising 2θ:
(hkl)  2theta  intensity
1 1 1  29.6  18
3 1 -1  30.4  23
0 0 2  30.6  16
1 1 -2  31.0  51
3 1 -2  31.8  36
4 0 -2  32.3  17
0 2 0  36.4  100
4 0 -3  37.4  12
4 2 -3  53.2  11
7 1 -3  61.0  12

Crystal structure
```
data_EuCdAg
_chemical_formula_sum 'Eu4 Cd4 Ag4'
_symmetry_space_group_name_H-M 'C 1 2/m 1'
_symmetry_Int_Tables_number 12
_symmetry_space_group_name_Hall '-C 2y'
_cell_length_a 11.174
_cell_length_b 4.940
_cell_length_c 7.640
_cell_angle_alpha 90.00
_cell_angle_beta 130.03
_cell_angle_gamma 90.00
loop_
_atom_site_label
_atom_site_type_symbol
_atom_site_fract_x
_atom_site_fract_y
_atom_site_fract_z
_atom_site_occupancy
Eu1 Eu 0.049 0.000 0.300 1
Cd1 Cd 0.170 0.500 0.110 1
Ag1 Ag 0.159 0.500 0.706 1
```